# 1
Calculated X-ray diffraction stick pattern
Compound: LiTiO4F3
Radiation: Cu Ka
Structure: DFT lattice parameters and positions (GGA-PBE)
Kinematic intensities with the Lorentz-polarization factor, no thermal factor.

Largest 10 diffraction maxima, by intensity, 2θ = 10–80°:
| 2theta | I/Imax |
| --- | --- |
| 19.04 | 100 |
| 24.17 | 44 |
| 21.71 | 42 |
| 40.59 | 27 |
| 19.97 | 25 |
| 49.51 | 16 |
| 39.65 | 15 |
| 46.48 | 14 |
| 32.11 | 13 |
| 29.67 | 12 |

Structural model:
Lattice parameters (Å, degrees): 6.0434 6.0434 7.3644 90.00 90.00 85.26
Fractional coordinates of all 18 atoms:
1 Li 0.2083 0.7917 0.7500
2 Li 0.7917 0.2083 0.2500
3 Ti 0.2528 0.7472 0.2500
4 Ti 0.7472 0.2528 0.7500
5 O 0.0405 0.4989 0.2500
6 O 0.2506 0.4107 0.2500
7 O 0.4107 0.2505 0.7500
8 O 0.4989 0.0405 0.7500
9 O 0.5011 0.9595 0.2500
10 O 0.5893 0.7495 0.2500
11 O 0.7495 0.5893 0.7500
12 O 0.9595 0.5011 0.7500
13 F 0.0233 0.9767 0.2500
14 F 0.2717 0.7283 0.5032
15 F 0.2717 0.7283 0.9968
16 F 0.7283 0.2717 0.0032
17 F 0.7283 0.2717 0.4968
18 F 0.9767 0.0233 0.7500

# 2
Calculated X-ray diffraction stick pattern
Compound: Fe2CuS3
Radiation: Cu Ka
Structure: DFT lattice parameters and positions (GGA-PBE)
Kinematic intensities with the Lorentz-polarization factor, no thermal factor.

Largest 10 diffraction maxima, by intensity, 2θ = 10–80°:
| 2theta | I/Imax |
| --- | --- |
| 28.08 | 100 |
| 25.76 | 81 |
| 49.57 | 73 |
| 52.79 | 72 |
| 29.91 | 60 |
| 27.98 | 50 |
| 32.60 | 44 |
| 49.76 | 36 |
| 38.50 | 27 |
| 52.69 | 25 |

Structural model:
Lattice parameters (Å, degrees): 6.2073 10.9953 6.3778 90.00 90.08 90.00
Fractional coordinates of all 24 atoms:
1 Fe 0.0000 0.1663 0.0000
2 Fe 0.0000 0.8337 0.0000
3 Fe 0.2631 0.3324 0.1636
4 Fe 0.2631 0.6676 0.1636
5 Fe 0.4998 0.1673 0.6638
6 Fe 0.4998 0.8327 0.6638
7 Fe 0.7595 0.3332 0.4985
8 Fe 0.7595 0.6668 0.4985
9 Cu 0.0150 0.0000 0.4961
10 Cu 0.2371 0.5000 0.6643
11 Cu 0.5151 0.0000 0.1644
12 Cu 0.7377 0.5000 0.9956
13 S 0.3636 0.1649 0.9862
14 S 0.3636 0.8351 0.9862
15 S 0.3710 0.5000 0.9984
16 S 0.3811 0.0000 0.5015
17 S 0.3944 0.3335 0.4986
18 S 0.3944 0.6665 0.4986
19 S 0.8583 0.1628 0.6691
20 S 0.8583 0.8372 0.6691
21 S 0.8709 0.5000 0.6583
22 S 0.8827 0.0000 0.1612
23 S 0.8954 0.3379 0.1647
24 S 0.8954 0.6621 0.1647

# 3
Calculated X-ray diffraction stick pattern
Compound: Zr2Fe
Radiation: Cu Ka
Structure: DFT lattice parameters and positions (GGA-PBE)
Kinematic intensities with the Lorentz-polarization factor, no thermal factor.

Largest 10 diffraction maxima, by intensity, 2θ = 10–80°:
| 2theta | I/Imax |
| --- | --- |
| 38.48 | 100 |
| 36.20 | 39 |
| 42.04 | 38 |
| 65.11 | 33 |
| 32.09 | 26 |
| 78.24 | 15 |
| 66.62 | 13 |
| 58.30 | 10 |
| 62.54 | 6 |
| 70.58 | 4 |

Structural model:
Lattice parameters (Å, degrees): 8.5964 8.5964 8.5964 60.00 60.00 60.00
Fractional coordinates of all 24 atoms:
1 Zr 0.0000 0.0000 0.0000
2 Zr 0.0000 0.0000 0.5000
3 Zr 0.0000 0.5000 0.0000
4 Zr 0.1868 0.1868 0.5632
5 Zr 0.1868 0.5632 0.1868
6 Zr 0.1868 0.5632 0.5632
7 Zr 0.4368 0.4368 0.8132
8 Zr 0.4368 0.8132 0.4368
9 Zr 0.4368 0.8132 0.8132
10 Zr 0.5000 0.0000 0.0000
11 Zr 0.5632 0.1868 0.1868
12 Zr 0.5632 0.1868 0.5632
13 Zr 0.5632 0.5632 0.1868
14 Zr 0.8132 0.4368 0.4368
15 Zr 0.8132 0.4368 0.8132
16 Zr 0.8132 0.8132 0.4368
17 Fe 0.1563 0.7812 0.7812
18 Fe 0.2188 0.2188 0.2188
19 Fe 0.2188 0.2188 0.8437
20 Fe 0.2188 0.8437 0.2188
21 Fe 0.7812 0.1563 0.7812
22 Fe 0.7812 0.7812 0.1563
23 Fe 0.7812 0.7812 0.7812
24 Fe 0.8437 0.2188 0.2188

# 4
Calculated X-ray diffraction stick pattern
Compound: Ge3Mo
Radiation: Cu Ka
Structure: DFT lattice parameters and positions (GGA-PBE)
Kinematic intensities with the Lorentz-polarization factor, no thermal factor.

Largest 9 diffraction maxima, by intensity, 2θ = 10–80°:
| 2theta | I/Imax |
| --- | --- |
| 38.31 | 100 |
| 45.48 | 30 |
| 79.23 | 23 |
| 64.07 | 21 |
| 42.59 | 18 |
| 75.11 | 13 |
| 66.28 | 10 |
| 24.66 | 2 |
| 20.93 | 1 |

Structural model:
Lattice parameters (Å, degrees): 3.9886 3.9886 8.4906 90.00 90.00 90.00
Fractional coordinates of all 8 atoms:
1 Ge 0.0000 0.0000 0.0000
2 Ge 0.0000 0.5000 0.2500
3 Ge 0.0000 0.5000 0.7500
4 Ge 0.5000 0.0000 0.2500
5 Ge 0.5000 0.0000 0.7500
6 Ge 0.5000 0.5000 0.5000
7 Mo 0.0000 0.0000 0.5000
8 Mo 0.5000 0.5000 0.0000

# 5
Calculated X-ray diffraction stick pattern
Compound: Ac2ZnIr
Radiation: Cu Ka
Structure: DFT lattice parameters and positions (GGA-PBE)
Kinematic intensities with the Lorentz-polarization factor, no thermal factor.

Largest 10 diffraction maxima, by intensity, 2θ = 10–80°:
| 2theta | I/Imax |
| --- | --- |
| 33.39 | 100 |
| 59.69 | 39 |
| 47.95 | 18 |
| 79.95 | 17 |
| 70.14 | 12 |
| 23.44 | 8 |
| 20.27 | 6 |
| 54.04 | 4 |
| 39.38 | 4 |
| 41.20 | 3 |

Structural model:
Lattice parameters (Å, degrees): 7.5895 7.5895 7.5895 90.00 90.00 90.00
Fractional coordinates of all 16 atoms:
1 Ac 0.2500 0.2500 0.2500
2 Ac 0.2500 0.2500 0.7500
3 Ac 0.2500 0.7500 0.2500
4 Ac 0.2500 0.7500 0.7500
5 Ac 0.7500 0.2500 0.2500
6 Ac 0.7500 0.2500 0.7500
7 Ac 0.7500 0.7500 0.2500
8 Ac 0.7500 0.7500 0.7500
9 Zn 0.0000 0.0000 0.0000
10 Zn 0.0000 0.5000 0.5000
11 Zn 0.5000 0.0000 0.5000
12 Zn 0.5000 0.5000 0.0000
13 Ir 0.0000 0.0000 0.5000
14 Ir 0.0000 0.5000 0.0000
15 Ir 0.5000 0.0000 0.0000
16 Ir 0.5000 0.5000 0.5000

# 6
Calculated X-ray diffraction stick pattern
Compound: Mg5Sb
Radiation: Cu Ka
Structure: DFT lattice parameters and positions (GGA-PBE)
Kinematic intensities with the Lorentz-polarization factor, no thermal factor.

Largest 10 diffraction maxima, by intensity, 2θ = 10–80°:
| 2theta | I/Imax |
| --- | --- |
| 36.57 | 100 |
| 12.03 | 86 |
| 36.18 | 67 |
| 34.19 | 51 |
| 15.76 | 47 |
| 31.95 | 45 |
| 16.90 | 42 |
| 37.36 | 32 |
| 28.52 | 24 |
| 62.29 | 23 |

Structural model:
Lattice parameters (Å, degrees): 11.7281 3.2585 7.6763 90.00 106.54 90.00
Fractional coordinates of all 12 atoms:
1 Mg 0.0000 0.0000 0.0000
2 Mg 0.0535 0.0000 0.6103
3 Mg 0.1645 0.5000 0.3363
4 Mg 0.3348 0.0000 0.6648
5 Mg 0.3896 0.0000 0.2792
6 Mg 0.5000 0.5000 0.0000
7 Mg 0.5535 0.5000 0.6103
8 Mg 0.6645 0.0000 0.3363
9 Mg 0.8348 0.5000 0.6648
10 Mg 0.8896 0.5000 0.2792
11 Sb 0.2242 0.5000 0.9501
12 Sb 0.7242 0.0000 0.9501

# 7
Calculated X-ray diffraction stick pattern
Compound: MgCu4As4S4
Radiation: Cu Ka
Structure: DFT lattice parameters and positions (GGA-PBE)
Kinematic intensities with the Lorentz-polarization factor, no thermal factor.

Largest 10 diffraction maxima, by intensity, 2θ = 10–80°:
| 2theta | I/Imax |
| --- | --- |
| 29.09 | 100 |
| 29.47 | 70 |
| 49.65 | 67 |
| 47.27 | 47 |
| 49.30 | 40 |
| 34.83 | 37 |
| 24.80 | 35 |
| 28.21 | 32 |
| 30.87 | 27 |
| 34.63 | 25 |

Structural model:
Lattice parameters (Å, degrees): 3.6971 5.5928 12.4189 79.90 89.92 89.99
Fractional coordinates of all 13 atoms:
1 Mg 0.0000 0.0000 0.0000
2 Cu 0.0023 0.8300 0.8104
3 Cu 0.0033 0.6280 0.3485
4 Cu 0.5007 0.3637 0.6987
5 Cu 0.5036 0.1529 0.2325
6 As 0.0020 0.8526 0.5050
7 As 0.0028 0.4977 0.9666
8 As 0.5018 0.1418 0.5405
9 As 0.5020 0.5258 0.0940
10 S 0.0009 0.6102 0.6740
11 S 0.0038 0.9416 0.2049
12 S 0.5017 0.0576 0.8452
13 S 0.5031 0.3803 0.3708

# 8
Calculated X-ray diffraction stick pattern
Compound: ZrSi
Radiation: Cu Ka
Structure: DFT lattice parameters and positions (GGA-PBE)
Kinematic intensities with the Lorentz-polarization factor, no thermal factor.

Largest 10 diffraction maxima, by intensity, 2θ = 10–80°:
| 2theta | I/Imax |
| --- | --- |
| 34.75 | 100 |
| 31.58 | 94 |
| 36.05 | 92 |
| 43.42 | 62 |
| 38.76 | 60 |
| 57.75 | 50 |
| 42.13 | 43 |
| 28.84 | 39 |
| 61.33 | 37 |
| 47.83 | 36 |

Structural model:
Lattice parameters (Å, degrees): 7.0301 3.8033 5.3281 90.00 90.00 90.00
Fractional coordinates of all 8 atoms:
1 Zr 0.1756 0.2500 0.1247
2 Zr 0.3244 0.7500 0.6247
3 Zr 0.6756 0.2500 0.3753
4 Zr 0.8244 0.7500 0.8753
5 Si 0.0433 0.2500 0.6382
6 Si 0.4567 0.7500 0.1382
7 Si 0.5433 0.2500 0.8618
8 Si 0.9567 0.7500 0.3618